Structure and computed X-ray diffraction stick pattern of SrGaH5 (DFT lattice parameters and positions (PBE); Cu Kα, 1.54184 Å).
Peak positions follow from Bragg's law for the DFT cell and can differ from measured ones.

Top 10 peaks for 2θ = 10–90°, low angle first:
- 2θ = 19.3°, I = 27, (0 0 1)
- 2θ = 22.8°, I = 63, (1 0 1)
- 2θ = 24.1°, I = 100, (2 0 0)
- 2θ = 25.8°, I = 20, (1 1 1)
- 2θ = 31.1°, I = 32, (2 0 1)
- 2θ = 33.4°, I = 43, (2 1 1)
- 2θ = 34.4°, I = 38, (2 2 0)
- 2θ = 42.9°, I = 37, (1 1 2)
- 2θ = 55.7°, I = 18, (4 2 0)
- 2θ = 56.1°, I = 34, (3 1 2)

Atomic structure:
```
data_SrGaH5
_chemical_formula_sum 'Sr2 Ga2 H10'
_cell_length_a 7.3757
_cell_length_b 7.3757
_cell_length_c 4.6073
_cell_angle_alpha 90.00
_cell_angle_beta 90.00
_cell_angle_gamma 90.00
_space_group_name_H-M_alt 'P 4/n m m'
_space_group_IT_number 129
loop_
_space_group_symop_operation_xyz
'x,y,z'
'-x,-y,-z'
'-y+1/2,x,z'
'y+1/2,-x,-z'
'-x+1/2,-y+1/2,z'
'x+1/2,y+1/2,-z'
'y,-x+1/2,z'
'-y,x+1/2,-z'
'x+1/2,-y,-z'
'-x+1/2,y,z'
'-y,-x,-z'
'y,x,z'
'-x,y+1/2,-z'
'x,-y+1/2,z'
'y+1/2,x+1/2,-z'
'-y+1/2,-x+1/2,z'
loop_
_atom_site_label
_atom_site_type_symbol
_atom_site_fract_x
_atom_site_fract_y
_atom_site_fract_z
Sr1 Sr 0.2500 0.2500 0.2179
Ga1 Ga 0.2500 0.7500 0.0000
H1 H 0.0782 0.7500 0.7914
H2 H 0.2500 0.2500 0.7178
```

=====

Structure and computed X-ray diffraction stick pattern of Pr6Nd2HoEr (DFT lattice parameters and positions (PBE); Cu Kα, 1.54184 Å).
Peak positions follow from Bragg's law for the DFT cell and can differ from measured ones.

Top 10 peaks for 2θ = 10–90°, low angle first:
- 2θ = 27.1°, I = 20, (2 2 -2)
- 2θ = 27.9°, I = 39, (1 3 2)
- 2θ = 29.8°, I = 100, (3 1 -1)
- 2θ = 30.4°, I = 47, (1 5 0)
- 2θ = 30.7°, I = 40, (2 4 -1)
- 2θ = 30.9°, I = 64, (2 2 2)
- 2θ = 31.4°, I = 19, (1 5 -1)
- 2θ = 32.7°, I = 43, (1 3 -3)
- 2θ = 51.7°, I = 19, (4 2 -4)
- 2θ = 59.0°, I = 17, (2 4 5)

Atomic structure:
```
data_Pr6Nd2HoEr
_chemical_formula_sum 'Pr24 Nd8 Ho4 Er4'
_cell_length_a 9.3002
_cell_length_b 15.4898
_cell_length_c 9.8884
_cell_angle_alpha 90.00
_cell_angle_beta 98.58
_cell_angle_gamma 90.00
_space_group_name_H-M_alt 'C 1 2/c 1'
_space_group_IT_number 15
loop_
_space_group_symop_operation_xyz
'x,y,z'
'-x,-y,-z'
'-x,y,-z+1/2'
'x,-y,z+1/2'
'x+1/2,y+1/2,z'
'-x+1/2,-y+1/2,-z'
'-x+1/2,y+1/2,-z+1/2'
'x+1/2,-y+1/2,z+1/2'
loop_
_atom_site_label
_atom_site_type_symbol
_atom_site_fract_x
_atom_site_fract_y
_atom_site_fract_z
Pr1 Pr 0.0620 0.1823 0.4458
Pr2 Pr 0.1026 0.3955 0.6184
Pr3 Pr 0.2077 0.2202 0.8095
Nd1 Nd 0.2450 0.0493 0.0432
Ho1 Ho 0.0000 0.0212 0.7500
Er1 Er 0.0000 0.4090 0.2500
```

=====

What is the formula in the second record?
Pr6Nd2HoEr